# 1
This entry pairs a crystal structure of Li2CoSnP2O8 with its computed PXRD pattern. Radiation: Cu Kα (weighted mean of Kα1 and Kα2). Structure: DFT lattice parameters and positions (PBE+U).
Neutral-atom scattering factors, no anomalous dispersion.

Lattice parameters (Å, degrees): 5.179 5.831 12.080 90.00 97.43 90.00
Sites, in units of the cell vectors:
Li 0.001 0.000 0.000
Li 0.127 0.507 0.542
Li 0.873 0.007 0.458
Li 0.999 0.500 0.000
Co 0.361 0.724 0.327
Co 0.639 0.224 0.673
Sn 0.252 0.757 0.789
Sn 0.748 0.257 0.211
P 0.333 0.222 0.419
P 0.490 0.258 0.897
P 0.510 0.758 0.103
P 0.667 0.722 0.581
O 0.170 0.007 0.373
O 0.180 0.444 0.379
O 0.217 0.248 0.931
O 0.287 0.750 0.005
O 0.340 0.226 0.548
O 0.391 0.717 0.617
O 0.463 0.552 0.188
O 0.471 0.970 0.181
O 0.529 0.470 0.819
O 0.537 0.052 0.812
O 0.609 0.217 0.383
O 0.660 0.726 0.452
O 0.713 0.250 0.995
O 0.783 0.748 0.069
O 0.820 0.944 0.621
O 0.830 0.507 0.627

The 10 most intense peaks (2θ from 5° to 70°), in order of rising 2θ:
hkl 0 0 2, 14.79°, intensity 52; hkl 1 0 0, 17.27°, intensity 92; hkl 1 1 0, 23.08°, intensity 96; hkl 1 1 -1, 23.55°, intensity 45; hkl 1 0 2, 24.24°, intensity 71; hkl 1 1 -2, 26.26°, intensity 77; hkl 1 1 2, 28.74°, intensity 100; hkl 0 2 0, 30.67°, intensity 79; hkl 0 1 4, 33.64°, intensity 87; hkl 0 1 6, 48.18°, intensity 47

# 2
This entry pairs a crystal structure of Li4CoSn3P4O16 with its computed PXRD pattern. Radiation: Cu Kα (weighted mean of Kα1 and Kα2). Structure: DFT lattice parameters and positions (PBE+U).
Neutral-atom scattering factors, no anomalous dispersion.

Lattice parameters (Å, degrees): 4.847 6.904 10.834 90.00 91.46 90.00
Sites, in units of the cell vectors:
Li 0.000 0.220 0.000
Li 0.000 0.780 0.000
Li 0.434 0.263 0.485
Li 0.434 0.737 0.485
Co 0.900 0.500 0.270
Sn 0.008 0.000 0.702
Sn 0.394 0.000 0.215
Sn 0.481 0.500 0.780
P 0.019 0.500 0.559
P 0.316 0.500 0.103
P 0.580 0.000 0.923
P 0.829 0.000 0.416
O 0.139 0.500 0.426
O 0.146 0.000 0.426
O 0.149 0.322 0.629
O 0.149 0.678 0.629
O 0.171 0.322 0.163
O 0.171 0.678 0.163
O 0.227 0.500 0.962
O 0.266 0.000 0.941
O 0.630 0.500 0.123
O 0.686 0.181 0.849
O 0.686 0.819 0.849
O 0.697 0.000 0.548
O 0.702 0.500 0.557
O 0.706 0.182 0.347
O 0.706 0.818 0.347
O 0.736 0.000 0.051

The 10 most intense peaks (2θ from 5° to 70°), in order of rising 2θ:
hkl 0 0 2, 16.37°, intensity 50; hkl 1 0 1, 20.27°, intensity 22; hkl 1 1 -1, 23.73°, intensity 75; hkl 1 1 1, 24.05°, intensity 85; hkl 1 0 -2, 24.34°, intensity 21; hkl 0 2 0, 25.81°, intensity 100; hkl 1 1 -3, 33.21°, intensity 56; hkl 1 1 3, 33.92°, intensity 51; hkl 0 1 4, 35.62°, intensity 36; hkl 0 4 0, 53.04°, intensity 34

# 3
This entry pairs a crystal structure of Li2CoSnP2O8 with its computed PXRD pattern. Radiation: Cu Kα (weighted mean of Kα1 and Kα2). Structure: DFT lattice parameters and positions (PBE+U).
Neutral-atom scattering factors, no anomalous dispersion.

Lattice parameters (Å, degrees): 4.832 6.206 23.694 90.00 92.51 90.00
Sites, in units of the cell vectors:
Li 0.000 0.000 0.000
Li 0.000 0.000 0.500
Li 0.000 0.500 0.000
Li 0.000 0.500 0.500
Li 0.379 0.062 0.277
Li 0.379 0.438 0.777
Li 0.621 0.562 0.223
Li 0.621 0.938 0.723
Co 0.417 0.249 0.902
Co 0.417 0.251 0.402
Co 0.583 0.749 0.598
Co 0.583 0.751 0.098
Sn 0.044 0.249 0.134
Sn 0.044 0.251 0.634
Sn 0.956 0.749 0.366
Sn 0.956 0.751 0.866
P 0.184 0.746 0.679
P 0.184 0.754 0.179
P 0.409 0.748 0.961
P 0.409 0.752 0.461
P 0.591 0.248 0.539
P 0.591 0.252 0.039
P 0.816 0.246 0.821
P 0.816 0.254 0.321
O 0.133 0.227 0.329
O 0.133 0.273 0.829
O 0.261 0.552 0.432
O 0.261 0.948 0.932
O 0.263 0.545 0.933
O 0.263 0.955 0.433
O 0.274 0.246 0.546
O 0.274 0.254 0.046
O 0.287 0.564 0.638
O 0.287 0.936 0.138
O 0.289 0.708 0.740
O 0.289 0.792 0.240
O 0.320 0.748 0.523
O 0.320 0.752 0.023
O 0.341 0.550 0.156
O 0.341 0.950 0.656
O 0.659 0.050 0.344
O 0.659 0.450 0.844
O 0.680 0.248 0.977
O 0.680 0.252 0.477
O 0.711 0.208 0.760
O 0.711 0.292 0.260
O 0.713 0.064 0.862
O 0.713 0.436 0.362
O 0.726 0.746 0.954
O 0.726 0.754 0.454
O 0.737 0.045 0.567
O 0.737 0.455 0.067
O 0.739 0.052 0.068
O 0.739 0.448 0.568
O 0.867 0.727 0.171
O 0.867 0.773 0.671

The 10 most intense peaks (2θ from 5° to 70°), in order of rising 2θ:
hkl 0 0 2, 7.47°, intensity 29; hkl 0 0 4, 14.97°, intensity 100; hkl 1 0 2, 20.17°, intensity 20; hkl 1 0 -4, 23.26°, intensity 54; hkl 1 1 -2, 24.29°, intensity 48; hkl 1 1 2, 24.79°, intensity 67; hkl 0 2 0, 28.77°, intensity 62; hkl 1 1 -6, 32.09°, intensity 30; hkl 1 1 6, 33.25°, intensity 52; hkl 2 0 4, 41.00°, intensity 24

# 4
This entry pairs a crystal structure of Li2CoSnP2O8 with its computed PXRD pattern. Radiation: Cu Kα (weighted mean of Kα1 and Kα2). Structure: DFT lattice parameters and positions (PBE+U).
Neutral-atom scattering factors, no anomalous dispersion.

Lattice parameters (Å, degrees): 4.963 5.891 12.147 90.00 101.33 90.00
Sites, in units of the cell vectors:
Li 0.000 0.000 0.000
Li 0.000 0.500 0.000
Li 0.500 0.000 0.500
Li 0.500 0.500 0.500
Co 0.050 0.250 0.682
Co 0.950 0.750 0.318
Sn 0.447 0.250 0.218
Sn 0.553 0.750 0.782
P 0.065 0.250 0.418
P 0.411 0.250 0.895
P 0.589 0.750 0.105
P 0.935 0.750 0.582
O 0.173 0.034 0.365
O 0.173 0.466 0.365
O 0.228 0.250 0.542
O 0.251 0.750 0.596
O 0.276 0.750 0.081
O 0.283 0.044 0.817
O 0.283 0.456 0.817
O 0.286 0.250 0.002
O 0.714 0.750 0.998
O 0.717 0.544 0.183
O 0.717 0.956 0.183
O 0.724 0.250 0.919
O 0.749 0.250 0.404
O 0.772 0.750 0.458
O 0.827 0.534 0.635
O 0.827 0.966 0.635

The 10 most intense peaks (2θ from 5° to 70°), in order of rising 2θ:
hkl 0 0 2, 14.88°, intensity 45; hkl 1 0 -1, 18.28°, intensity 45; hkl 1 0 1, 21.03°, intensity 29; hkl 1 1 -1, 23.74°, intensity 100; hkl 1 0 -3, 25.99°, intensity 77; hkl 1 1 -3, 30.20°, intensity 63; hkl 0 2 0, 30.35°, intensity 57; hkl 0 1 4, 33.73°, intensity 53; hkl 1 1 3, 35.32°, intensity 29; hkl 1 2 -2, 37.28°, intensity 42

# 5
This entry pairs a crystal structure of Li2CoSnP2O8 with its computed PXRD pattern. Radiation: Cu Kα (weighted mean of Kα1 and Kα2). Structure: DFT lattice parameters and positions (PBE+U).
Neutral-atom scattering factors, no anomalous dispersion.

Lattice parameters (Å, degrees): 4.835 6.209 11.844 90.00 92.53 90.00
Sites, in units of the cell vectors:
Li 0.013 0.000 0.006
Li 0.378 0.060 0.555
Li 0.622 0.560 0.445
Li 0.987 0.500 0.994
Co 0.416 0.248 0.804
Co 0.584 0.748 0.196
Sn 0.045 0.248 0.268
Sn 0.955 0.748 0.732
P 0.184 0.752 0.357
P 0.409 0.749 0.923
P 0.591 0.249 0.077
P 0.816 0.252 0.643
O 0.133 0.224 0.657
O 0.259 0.549 0.864
O 0.262 0.952 0.866
O 0.274 0.249 0.092
O 0.287 0.933 0.276
O 0.290 0.791 0.479
O 0.321 0.746 0.047
O 0.342 0.548 0.311
O 0.658 0.048 0.689
O 0.679 0.246 0.953
O 0.710 0.291 0.521
O 0.713 0.433 0.724
O 0.726 0.749 0.908
O 0.738 0.452 0.134
O 0.741 0.049 0.136
O 0.867 0.724 0.343

The 10 most intense peaks (2θ from 5° to 70°), in order of rising 2θ:
hkl 0 0 1, 7.47°, intensity 29; hkl 0 0 2, 14.97°, intensity 100; hkl 1 0 1, 20.16°, intensity 20; hkl 1 0 -2, 23.25°, intensity 55; hkl 1 1 -1, 24.28°, intensity 49; hkl 1 1 1, 24.78°, intensity 66; hkl 0 2 0, 28.75°, intensity 62; hkl 1 1 -3, 32.08°, intensity 30; hkl 1 1 3, 33.25°, intensity 52; hkl 2 0 2, 40.99°, intensity 24

# 6
This entry pairs a crystal structure of Li2CoSnP2O8 with its computed PXRD pattern. Radiation: Cu Kα (weighted mean of Kα1 and Kα2). Structure: DFT lattice parameters and positions (PBE+U).
Neutral-atom scattering factors, no anomalous dispersion.

Lattice parameters (Å, degrees): 4.851 6.329 11.213 90.07 91.28 90.95
Sites, in units of the cell vectors:
Li 0.000 0.000 0.000
Li 0.000 0.500 0.000
Li 0.500 0.000 0.500
Li 0.500 0.500 0.500
Co 0.072 0.248 0.706
Co 0.928 0.752 0.294
Sn 0.472 0.253 0.224
Sn 0.528 0.747 0.776
P 0.085 0.750 0.575
P 0.339 0.749 0.123
P 0.661 0.251 0.877
P 0.915 0.250 0.425
O 0.184 0.551 0.177
O 0.190 0.756 0.446
O 0.203 0.941 0.188
O 0.220 0.550 0.636
O 0.226 0.947 0.641
O 0.232 0.252 0.414
O 0.248 0.760 0.990
O 0.347 0.256 0.857
O 0.653 0.744 0.143
O 0.752 0.240 0.010
O 0.768 0.748 0.586
O 0.774 0.053 0.359
O 0.780 0.450 0.364
O 0.797 0.059 0.812
O 0.810 0.244 0.554
O 0.816 0.449 0.823

The 10 most intense peaks (2θ from 5° to 70°), in order of rising 2θ:
hkl 0 0 2, 15.81°, intensity 96; hkl 1 0 -2, 23.99°, intensity 54; hkl -1 1 1, 24.14°, intensity 35; hkl 1 -1 1, 24.43°, intensity 85; hkl 1 1 1, 24.77°, intensity 49; hkl 0 2 0, 28.20°, intensity 100; hkl -1 1 3, 33.00°, intensity 29; hkl 1 1 -3, 33.23°, intensity 28; hkl 1 -1 3, 33.57°, intensity 39; hkl 1 1 3, 33.87°, intensity 34

# 7
This entry pairs a crystal structure of Li2Ti4CoP4O20 with its computed PXRD pattern. Radiation: Cu Kα (weighted mean of Kα1 and Kα2). Structure: DFT lattice parameters and positions (PBE+U).
Neutral-atom scattering factors, no anomalous dispersion.

Lattice parameters (Å, degrees): 6.451 7.356 7.497 89.83 89.75 89.46
Sites, in units of the cell vectors:
Li 0.000 0.000 0.000
Li 0.000 0.500 0.500
Ti 0.247 0.215 0.330
Ti 0.261 0.272 0.840
Ti 0.739 0.728 0.160
Ti 0.753 0.785 0.670
Co 0.500 0.500 0.500
P 0.246 0.875 0.623
P 0.248 0.623 0.126
P 0.752 0.377 0.874
P 0.754 0.125 0.377
O 0.055 0.746 0.137
O 0.055 0.749 0.616
O 0.232 0.160 0.110
O 0.234 0.002 0.785
O 0.245 0.507 0.956
O 0.253 0.496 0.297
O 0.258 0.983 0.447
O 0.267 0.352 0.615
O 0.440 0.747 0.634
O 0.442 0.742 0.129
O 0.558 0.258 0.871
O 0.560 0.253 0.366
O 0.733 0.648 0.385
O 0.742 0.017 0.553
O 0.747 0.504 0.703
O 0.755 0.493 0.044
O 0.766 0.998 0.215
O 0.768 0.840 0.890
O 0.945 0.251 0.384
O 0.945 0.254 0.863

The 10 most intense peaks (2θ from 5° to 70°), in order of rising 2θ:
hkl 1 -1 0, 18.38°, intensity 33; hkl 0 1 -2, 26.70°, intensity 100; hkl 0 2 1, 26.98°, intensity 33; hkl 2 0 0, 27.66°, intensity 48; hkl -1 2 1, 30.52°, intensity 21; hkl 2 -1 1, 32.68°, intensity 15; hkl 2 2 -1, 38.93°, intensity 13; hkl 1 3 0, 39.19°, intensity 16; hkl 3 1 0, 43.75°, intensity 13; hkl 4 0 0, 57.11°, intensity 15

# 8
This entry pairs a crystal structure of Li4V3CoP4O16 with its computed PXRD pattern. Radiation: Cu Kα (weighted mean of Kα1 and Kα2). Structure: DFT lattice parameters and positions (PBE+U).
Neutral-atom scattering factors, no anomalous dispersion.

Lattice parameters (Å, degrees): 4.767 6.089 10.434 90.00 90.08 90.00
Sites, in units of the cell vectors:
Li 0.000 0.249 0.000
Li 0.000 0.751 0.000
Li 0.501 0.250 0.494
Li 0.501 0.750 0.494
V 0.022 0.000 0.272
V 0.480 0.000 0.773
V 0.981 0.500 0.724
Co 0.518 0.500 0.221
P 0.091 0.500 0.403
P 0.413 0.500 0.910
P 0.588 0.000 0.090
P 0.911 0.000 0.589
O 0.206 0.500 0.542
O 0.231 0.298 0.334
O 0.231 0.702 0.334
O 0.233 0.000 0.594
O 0.266 0.000 0.093
O 0.274 0.297 0.841
O 0.274 0.703 0.841
O 0.296 0.500 0.049
O 0.710 0.000 0.952
O 0.723 0.204 0.159
O 0.723 0.796 0.159
O 0.735 0.500 0.904
O 0.768 0.500 0.395
O 0.774 0.203 0.658
O 0.774 0.797 0.658
O 0.792 0.000 0.450

The 10 most intense peaks (2θ from 5° to 70°), in order of rising 2θ:
hkl 0 0 2, 17.00°, intensity 23; hkl 1 0 1, 20.48°, intensity 51; hkl 0 1 2, 22.44°, intensity 27; hkl 1 1 1, 25.22°, intensity 71; hkl 0 2 0, 29.33°, intensity 69; hkl 1 1 -3, 35.18°, intensity 100; hkl 1 2 1, 36.05°, intensity 28; hkl 2 0 2, 41.63°, intensity 20; hkl 2 2 -2, 51.76°, intensity 34; hkl 1 3 -3, 55.88°, intensity 23